Theoretical X-ray powder pattern of KBa2Re for copper Kα, from a structure optimized by DFT (GGA-PBE).

Atomic structure:
abc: 5.951 5.951 5.951
angles: 60.00 60.00 60.00
Fractional positions:
K 0.000 0.000 0.000
Ba 0.250 0.250 0.250
Ba 0.500 0.500 0.500
Re 0.750 0.750 0.750

The 8 most intense peaks (2θ from 15° to 90°), by angle:
2θ/deg	I/Imax
18.26	10
21.11	10
30.03	100
42.99	19
53.33	39
62.42	12
70.81	17
86.54	20


Theoretical X-ray powder pattern of K2BaSnTe4 for copper Kα, from a structure optimized by DFT (GGA-PBE).

Atomic structure:
abc: 7.425 7.425 7.425
angles: 109.12 109.12 110.17
Fractional positions:
K 0.000 0.500 0.500
K 0.500 0.000 0.500
Ba 0.000 0.000 0.000
Sn 0.500 0.500 0.000
Te 0.120 0.499 0.000
Te 0.499 0.120 0.000
Te 0.501 0.501 0.621
Te 0.880 0.880 0.379

The 8 most intense peaks (2θ from 15° to 90°), by angle:
2θ/deg	I/Imax
25.39	75
25.56	40
29.34	50
29.53	100
39.30	27
44.67	48
52.15	19
67.08	19


Theoretical X-ray powder pattern of Ba3La for copper Kα, from a structure optimized by DFT (GGA-PBE).

Atomic structure:
abc: 6.024 6.024 6.024
angles: 90.00 90.00 90.00
Fractional positions:
Ba 0.000 0.000 0.500
Ba 0.000 0.500 0.000
Ba 0.500 0.000 0.000
La 0.500 0.500 0.500

The 8 most intense peaks (2θ from 15° to 90°), by angle:
2θ/deg	I/Imax
25.61	100
29.66	52
42.44	38
50.23	47
52.63	14
67.81	19
69.83	18
83.36	15


Theoretical X-ray powder pattern of Ba3La for copper Kα, from a structure optimized by DFT (GGA-PBE).

Atomic structure:
abc: 8.621 8.621 6.798
angles: 90.00 90.00 120.00
Fractional positions:
Ba 0.173 0.345 0.250
Ba 0.173 0.827 0.250
Ba 0.345 0.173 0.750
Ba 0.655 0.827 0.250
Ba 0.827 0.173 0.750
Ba 0.827 0.655 0.750
La 0.333 0.667 0.750
La 0.667 0.333 0.250

The 8 most intense peaks (2θ from 15° to 90°), by angle:
2θ/deg	I/Imax
23.84	23
26.22	25
27.25	100
35.73	16
41.92	20
46.91	22
50.12	24
50.72	17


Theoretical X-ray powder pattern of BaLaMg6 for copper Kα, from a structure optimized by DFT (GGA-PBE).

Atomic structure:
abc: 5.354 7.051 7.051
angles: 63.72 90.00 90.00
Fractional positions:
Ba 0.000 0.000 0.000
La 0.500 0.305 0.305
Mg 0.000 0.484 0.484
Mg 0.000 0.517 0.967
Mg 0.000 0.967 0.517
Mg 0.500 0.353 0.777
Mg 0.500 0.777 0.353
Mg 0.500 0.803 0.803

The 8 most intense peaks (2θ from 15° to 90°), by angle:
2θ/deg	I/Imax
21.75	67
22.27	38
23.91	19
25.31	28
29.84	20
32.90	100
33.47	29
34.31	26


Theoretical X-ray powder pattern of BaLaMg6 for copper Kα, from a structure optimized by DFT (GGA-PBE).

Atomic structure:
abc: 5.445 7.048 7.048
angles: 61.89 90.00 90.00
Fractional positions:
Ba 0.000 0.000 0.000
La 0.000 0.505 0.505
Mg 0.000 0.001 0.494
Mg 0.000 0.494 0.001
Mg 0.500 0.321 0.321
Mg 0.500 0.356 0.832
Mg 0.500 0.811 0.811
Mg 0.500 0.832 0.356

The 8 most intense peaks (2θ from 15° to 90°), by angle:
2θ/deg	I/Imax
16.28	44
21.97	51
28.72	38
29.58	41
32.90	31
33.19	100
33.92	43
44.23	23


Theoretical X-ray powder pattern of Ba3La9Mg7Nb5O36 for copper Kα, from a structure optimized by DFT (GGA-PBE).

Atomic structure:
abc: 5.701 17.133 8.111
angles: 90.00 90.00 90.00
Fractional positions:
Ba 0.000 0.000 0.000
Ba 0.500 0.167 0.498
Ba 0.500 0.833 0.498
La 0.000 0.000 0.514
La 0.000 0.342 0.008
La 0.000 0.359 0.476
La 0.000 0.641 0.476
La 0.000 0.658 0.008
La 0.500 0.173 0.994
La 0.500 0.500 0.030
La 0.500 0.500 0.465
La 0.500 0.827 0.994
Mg 0.000 0.170 0.749
Mg 0.000 0.500 0.242
Mg 0.000 0.500 0.755
Mg 0.000 0.830 0.749
Mg 0.500 0.000 0.247
Mg 0.500 0.335 0.249
Mg 0.500 0.665 0.249
Nb 0.000 0.167 0.247
Nb 0.000 0.833 0.247
Nb 0.500 0.000 0.750
Nb 0.500 0.337 0.750
Nb 0.500 0.663 0.750
O 0.000 0.167 0.493
O 0.000 0.169 0.001
O 0.000 0.500 0.000
O 0.000 0.500 0.501
O 0.000 0.831 0.001
O 0.000 0.833 0.493
O 0.241 0.413 0.748
O 0.241 0.587 0.748
O 0.243 0.254 0.229
O 0.243 0.746 0.229
O 0.250 0.082 0.742
O 0.250 0.087 0.245
O 0.250 0.913 0.245
O 0.250 0.918 0.742
O 0.251 0.419 0.259
O 0.251 0.581 0.259
O 0.263 0.251 0.776
O 0.263 0.749 0.776
O 0.500 0.000 0.499
O 0.500 0.000 0.993
O 0.500 0.341 0.504
O 0.500 0.349 0.999
O 0.500 0.651 0.999
O 0.500 0.659 0.504
O 0.737 0.251 0.776
O 0.737 0.749 0.776
O 0.749 0.419 0.259
O 0.749 0.581 0.259
O 0.750 0.082 0.742
O 0.750 0.087 0.245
O 0.750 0.913 0.245
O 0.750 0.918 0.742
O 0.757 0.254 0.229
O 0.757 0.746 0.229
O 0.759 0.413 0.748
O 0.759 0.587 0.748

The 8 most intense peaks (2θ from 15° to 90°), by angle:
2θ/deg	I/Imax
31.28	100
31.38	22
38.59	23
44.69	13
44.93	26
55.61	14
55.77	29
65.24	14


Theoretical X-ray powder pattern of Ba2LaMgNbO6 for copper Kα, from a structure optimized by DFT (GGA-PBE).

Atomic structure:
abc: 5.953 5.953 7.064
angles: 115.55 115.55 59.57
Fractional positions:
Ba 0.000 0.000 0.000
Ba 0.568 0.568 0.695
La 0.380 0.380 0.104
Mg 0.175 0.175 0.541
Nb 0.826 0.826 0.404
O 0.052 0.593 0.620
O 0.150 0.150 0.803
O 0.184 0.760 0.354
O 0.593 0.052 0.620
O 0.634 0.634 0.142
O 0.760 0.184 0.354

The 8 most intense peaks (2θ from 15° to 90°), by angle:
2θ/deg	I/Imax
19.79	25
29.81	61
30.01	100
30.22	37
42.53	23
43.09	25
53.05	19
53.41	23


Theoretical X-ray powder pattern of BaLaMgNbO6 for copper Kα, from a structure optimized by DFT (GGA-PBE).

Atomic structure:
abc: 5.755 5.755 5.755
angles: 60.00 60.00 60.00
Fractional positions:
Ba 0.000 0.000 0.000
La 0.500 0.500 0.500
Mg 0.750 0.750 0.750
Nb 0.250 0.250 0.250
O 0.003 0.003 0.497
O 0.003 0.497 0.003
O 0.003 0.497 0.497
O 0.497 0.003 0.003
O 0.497 0.003 0.497
O 0.497 0.497 0.003

The 8 most intense peaks (2θ from 15° to 90°), by angle:
2θ/deg	I/Imax
18.89	10
21.84	11
31.08	100
38.31	18
44.53	34
55.30	40
64.80	20
73.61	17


Theoretical X-ray powder pattern of Ba2LaMgNbO6 for copper Kα, from a structure optimized by DFT (GGA-PBE).

Atomic structure:
abc: 6.447 6.447 6.385
angles: 119.42 119.42 57.07
Fractional positions:
Ba 0.185 0.185 0.187
Ba 0.815 0.815 0.813
La 0.000 0.000 0.500
Mg 0.500 0.500 0.500
Nb 0.500 0.500 0.000
O 0.244 0.685 0.224
O 0.286 0.286 0.723
O 0.315 0.756 0.776
O 0.685 0.244 0.224
O 0.714 0.714 0.277
O 0.756 0.315 0.776

The 8 most intense peaks (2θ from 15° to 90°), by angle:
2θ/deg	I/Imax
27.62	100
27.73	97
27.95	85
28.99	83
31.91	41
40.70	98
43.54	43
50.58	42


Theoretical X-ray powder pattern of BaLaMgRuO6 for copper Kα, from a structure optimized by DFT (GGA-PBE).

Atomic structure:
abc: 5.714 5.714 5.714
angles: 120.57 120.57 89.02
Fractional positions:
Ba 0.000 0.000 0.000
La 0.500 0.500 0.000
Mg 0.250 0.750 0.500
Ru 0.750 0.250 0.500
O 0.057 0.464 0.987
O 0.478 0.071 0.013
O 0.507 0.007 0.500
O 0.536 0.522 0.593
O 0.929 0.943 0.407
O 0.993 0.493 0.500

The 8 most intense peaks (2θ from 15° to 90°), by angle:
2θ/deg	I/Imax
19.08	18
31.31	100
31.59	54
38.72	22
45.28	31
55.56	22
56.08	43
65.33	19


Theoretical X-ray powder pattern of BaLaMgTaO6 for copper Kα, from a structure optimized by DFT (GGA-PBE).

Atomic structure:
abc: 5.746 5.746 5.746
angles: 60.00 60.00 60.00
Fractional positions:
Ba 0.000 0.000 0.000
La 0.500 0.500 0.500
Mg 0.750 0.750 0.750
Ta 0.250 0.250 0.250
O 0.004 0.004 0.496
O 0.004 0.496 0.004
O 0.004 0.496 0.496
O 0.496 0.004 0.004
O 0.496 0.004 0.496
O 0.496 0.496 0.004

The 8 most intense peaks (2θ from 15° to 90°), by angle:
2θ/deg	I/Imax
18.92	28
31.13	100
36.68	15
44.61	31
48.86	7
55.40	40
64.92	19
73.75	18